Entry 1:
The following is a simulated XRD peak list of Mn3Sn. It was derived from the GGA-PBE geometry in Alexandria, using a wavelength of 1.5418 Å.

Most intense lines, 10 to 90 degrees two-theta, sorted by position:
(hkl)	2θ/deg	d_spacing	Rel. int.
1 1 1	25.55	3.486	12
2 0 0	29.59	3.019	7
2 2 0	42.34	2.135	100
3 1 1	50.11	1.820	7
2 2 2	52.51	1.743	2
4 0 0	61.43	1.509	16
3 3 1	67.64	1.385	3
4 2 0	69.65	1.350	3
4 2 2	77.45	1.232	32
5 1 1	83.13	1.162	3

Crystal structure
abc: 6.0374 6.0374 6.0374
angles: 90.00 90.00 90.00
Space group Fm-3m (No. 225)
One atom of each set of equivalent atoms:
1 Mn 0.0000 0.0000 0.0000 [4 per cell]
2 Mn 0.2500 0.2500 0.2500 [8 per cell]
3 Sn 0.0000 0.0000 0.5000 [4 per cell]

Entry 2:
The following is a simulated XRD peak list of SmMg5Rh2. It was derived from the GGA-PBE geometry in Alexandria, using a wavelength of 1.5418 Å.

Most intense lines, 10 to 90 degrees two-theta, sorted by position:
(hkl)	2θ/deg	d_spacing	Rel. int.
0 1 1	14.01	6.322	58
0 2 0	21.31	4.169	66
1 1 2	30.29	2.951	100
1 2 1	31.78	2.816	30
1 0 3	35.18	2.551	49
1 2 3	41.50	2.176	18
0 2 4	43.17	2.096	30
1 3 2	43.40	2.085	70
2 0 0	43.57	2.077	24
2 2 4	63.03	1.475	30

Crystal structure
abc: 4.1541 8.3372 9.6975
angles: 90.00 90.00 90.00
Space group Immm (No. 71)
One atom of each set of equivalent atoms:
1 Sm 0.0000 0.0000 0.0000 [2 per cell]
2 Mg 0.0000 0.1827 0.3337 [8 per cell]
3 Mg 0.0000 0.5000 0.0000 [2 per cell]
4 Rh 0.0000 0.5000 0.2736 [4 per cell]

Entry 3:
The following is a simulated XRD peak list of Pu3Tl4CuSe8. It was derived from the GGA-PBE geometry in Alexandria, using a wavelength of 1.5418 Å.

Most intense lines, 10 to 90 degrees two-theta, sorted by position:
(hkl)	2θ/deg	d_spacing	Rel. int.
0 0 6	23.08	3.854	14
2 0 2	26.00	3.427	25
0 2 4	29.29	3.049	100
2 0 8	40.06	2.251	37
2 2 0	43.69	2.072	36
2 2 6	49.98	1.825	12
4 0 4	53.48	1.713	19
0 4 8	60.76	1.524	11
2 2 12	66.24	1.411	13
2 4 4	71.45	1.320	16

Crystal structure
abc: 8.2866 8.2866 23.1236
angles: 90.00 90.00 120.00
Space group R-3m (No. 166, hexagonal axes)
One atom of each set of equivalent atoms:
1 Pu 0.0000 0.5000 0.0000 [9 per cell]
2 Tl 0.0000 0.0000 0.5000 [3 per cell]
3 Tl 0.0000 0.5000 0.5000 [9 per cell]
4 Cu 0.0000 0.0000 0.0000 [3 per cell]
5 Se 0.0000 0.0000 0.2649 [6 per cell]
6 Se 0.0082 0.5041 0.7320 [18 per cell]

Entry 4:
The following is a simulated XRD peak list of HWSe. It was derived from the GGA-PBE geometry in Alexandria, using a wavelength of 1.5418 Å.

Most intense lines, 10 to 90 degrees two-theta, sorted by position:
(hkl)	2θ/deg	d_spacing	Rel. int.
2 0 0	12.08	7.325	100
2 3 1	25.26	3.526	17
4 1 1	28.09	3.177	12
3 1 2	31.77	2.817	29
3 4 1	33.08	2.708	13
4 2 2	37.36	2.407	12
5 1 2	40.39	2.233	39
3 2 3	44.31	2.044	12
4 6 0	44.60	2.032	18
1 8 1	51.95	1.760	14

Crystal structure
abc: 14.6496 14.6496 7.0968
angles: 90.00 90.00 90.00
Space group I4_1/a (No. 88, origin choice 2)
One atom of each set of equivalent atoms:
1 H 0.1427 0.4201 0.4363 [16 per cell]
2 H 0.1452 0.4939 0.8502 [16 per cell]
3 W 0.1391 0.0273 0.4020 [16 per cell]
4 W 0.1576 0.4773 0.1839 [16 per cell]
5 Se 0.0153 0.0607 0.6710 [16 per cell]
6 Se 0.0783 0.3512 0.0180 [16 per cell]

Entry 5:
The following is a simulated XRD peak list of SrAlHg2. It was derived from the GGA-PBE geometry in Alexandria, using a wavelength of 1.5418 Å.

Most intense lines, 10 to 90 degrees two-theta, sorted by position:
(hkl)	2θ/deg	d_spacing	Rel. int.
0 2 0	23.71	3.753	31
2 0 1	24.72	3.602	31
1 2 1	29.57	3.021	33
1 0 2	30.40	2.940	100
2 2 0	31.29	2.859	60
3 0 1	33.69	2.660	60
2 2 1	34.52	2.599	56
1 2 2	38.91	2.314	67
1 3 1	40.16	2.245	36
4 0 1	43.51	2.080	33

Crystal structure
abc: 8.8241 7.5052 6.2368
angles: 90.00 90.00 90.00
Space group Pnma (No. 62)
One atom of each set of equivalent atoms:
1 Sr 0.0432 0.2500 0.1295 [4 per cell]
2 Al 0.1071 0.7500 0.3686 [4 per cell]
3 Hg 0.1806 0.0466 0.6233 [8 per cell]

Entry 6:
The following is a simulated XRD peak list of Cs3Na2DyBr8. It was derived from the GGA-PBE geometry in Alexandria, using a wavelength of 1.5418 Å.

Most intense lines, 10 to 90 degrees two-theta, sorted by position:
(hkl)	2θ/deg	d_spacing	Rel. int.
0 1 2	20.89	4.252	27
1 1 0	22.17	4.009	97
0 0 3	24.83	3.586	30
0 2 1	26.98	3.304	95
1 1 2	27.75	3.214	59
2 0 2	30.65	2.917	100
2 0 3	36.01	2.494	46
0 2 4	42.52	2.126	73
2 2 0	45.23	2.005	62
4 0 4	63.81	1.459	27

Crystal structure
abc: 8.0187 8.0187 10.7569
angles: 90.00 90.00 120.00
Space group P-3m1 (No. 164)
One atom of each set of equivalent atoms:
1 Cs 0.0000 0.0000 0.0000 [1 per cell]
2 Cs 0.3333 0.6667 0.6245 [2 per cell]
3 Na 0.3333 0.6667 0.1907 [2 per cell]
4 Dy 0.0000 0.0000 0.5000 [1 per cell]
5 Br 0.1616 0.3233 0.3448 [6 per cell]
6 Br 0.3333 0.6667 0.9415 [2 per cell]